The following is a calculated PXRD pattern of Cd2InSi2Pd5. It was derived from a cell relaxed with GGA-PBE, using copper Kα.
Kinematic intensities with the Lorentz-polarization factor, no thermal factor.

Main lines, in order of rising 2θ (15 to 90 degrees two-theta):
d = 2.726 Å, 32.85°, I = 43
d = 2.461 Å, 36.51°, I = 26
d = 2.403 Å, 37.43°, I = 54
d = 2.322 Å, 38.78°, I = 100
d = 2.215 Å, 40.73°, I = 30
d = 2.151 Å, 42.00°, I = 30
d = 1.729 Å, 52.95°, I = 19
d = 1.404 Å, 66.63°, I = 19
d = 1.363 Å, 68.88°, I = 12
d = 1.299 Å, 72.84°, I = 16

Structure:
Unit cell a=9.9067 b=9.9067 c=3.4585 alpha=90.00 beta=90.00 gamma=90.00
Fractional positions:
Cd 0.1738 0.3262 0.0000
Cd 0.3262 0.8262 0.0000
Cd 0.6738 0.1738 0.0000
Cd 0.8262 0.6738 0.0000
In 0.0000 0.0000 0.0000
In 0.5000 0.5000 0.0000
Si 0.1259 0.6259 0.0000
Si 0.3741 0.1259 0.0000
Si 0.6259 0.8741 0.0000
Si 0.8741 0.3741 0.0000
Pd 0.0000 0.5000 0.5000
Pd 0.0735 0.7888 0.5000
Pd 0.2112 0.0735 0.5000
Pd 0.2888 0.5735 0.5000
Pd 0.4265 0.2888 0.5000
Pd 0.5000 0.0000 0.5000
Pd 0.5735 0.7112 0.5000
Pd 0.7112 0.4265 0.5000
Pd 0.7888 0.9265 0.5000
Pd 0.9265 0.2112 0.5000